# La5Pr3Y3
Simulated powder diffraction line list, copper Kα. Input: a cell relaxed with GGA-PBE.
No peak broadening, texture or thermal motion is included.

Structural model:
Lattice parameters (Å, degrees): 11.5851 11.5851 3.4967 90.00 90.00 120.00
Space group P-62m (No. 189)
One atom of each set of equivalent atoms:
La  0.0000  0.3372  0.0000
La  0.3333  0.6667  0.0000
Pr  0.0000  0.5963  0.5000
Y  0.0000  0.8398  0.0000

Largest 12 diffraction maxima, sorted by position, 15 to 90 degrees two-theta:
- 3.792 Å, 2θ = 23.46°, rel. 26.4, hkl 2 1 0
- 3.344 Å, 2θ = 26.65°, rel. 100.0, hkl 3 0 0
- 2.994 Å, 2θ = 29.85°, rel. 99.6, hkl 1 1 1
- 2.869 Å, 2θ = 31.18°, rel. 25.8, hkl 2 0 1
- 2.783 Å, 2θ = 32.17°, rel. 76.1, hkl 3 1 0
- 2.571 Å, 2θ = 34.90°, rel. 48.0, hkl 2 1 1
- 2.231 Å, 2θ = 40.44°, rel. 58.9, hkl 2 2 1
- 1.923 Å, 2θ = 47.28°, rel. 29.2, hkl 3 2 1
- 1.549 Å, 2θ = 59.68°, rel. 20.9, hkl 3 0 2
- 1.509 Å, 2θ = 61.47°, rel. 32.5, hkl 6 0 1
- 1.480 Å, 2θ = 62.76°, rel. 21.8, hkl 3 1 2
- 1.189 Å, 2θ = 80.86°, rel. 19.7, hkl 6 3 1

# LaHo6Sc4
Simulated powder diffraction line list, copper Kα. Input: a cell relaxed with GGA-PBE.
No peak broadening, texture or thermal motion is included.

Structural model:
Lattice parameters (Å, degrees): 5.4766 9.4396 24.9659 90.00 90.00 90.00
Space group Cmcm (No. 63)
One atom of each set of equivalent atoms:
La  0.0000  0.1715  0.2500
Ho  0.0000  0.1617  0.6765
Ho  0.0000  0.1707  0.0943
Ho  0.0000  0.4947  0.7500
Ho  0.0000  0.5000  0.0000
Sc  0.0000  0.1649  0.5424
Sc  0.0000  0.4950  0.6235

Largest 12 diffraction maxima, sorted by position, 15 to 90 degrees two-theta:
- 3.770 Å, 2θ = 23.60°, rel. 37.0, hkl 1 1 4
- 3.434 Å, 2θ = 25.94°, rel. 25.3, hkl 0 2 5
- 2.848 Å, 2θ = 31.41°, rel. 100.0, hkl 0 2 7
- 2.738 Å, 2θ = 32.70°, rel. 49.5, hkl 2 0 0
- 2.728 Å, 2θ = 32.83°, rel. 97.3, hkl 1 3 0
- 2.605 Å, 2θ = 34.43°, rel. 39.4, hkl 1 1 8
- 1.973 Å, 2θ = 46.00°, rel. 24.0, hkl 2 2 7
- 1.655 Å, 2θ = 55.52°, rel. 22.5, hkl 2 0 12
- 1.601 Å, 2θ = 57.55°, rel. 11.6, hkl 3 1 7
- 1.597 Å, 2θ = 57.73°, rel. 23.3, hkl 1 5 7
- 1.579 Å, 2θ = 58.45°, rel. 18.4, hkl 3 3 0
- 1.493 Å, 2θ = 62.16°, rel. 12.7, hkl 2 0 14